# 1
Theoretical powder diffractogram
Compound: Rb2SmAlO4
Radiation: Cu Ka
Structure: a PBE-relaxed structure
Peak positions follow from Bragg's law for the DFT cell and can differ from measured ones.

Most intense lines, 2θ = 5–70°, by angle:
(0 0 4), d 5.910, 2θ 14.99, rel. 83; (1 1 1), d 5.054, 2θ 17.55, rel. 53; (1 1 5), d 3.490, 2θ 25.52, rel. 54; (0 2 6), d 3.340, 2θ 26.69, rel. 100; (0 4 0), d 3.148, 2θ 28.35, rel. 32; (1 3 5), d 2.747, 2θ 32.60, rel. 56; (2 2 0), d 2.587, 2θ 34.68, rel. 41; (2 0 6), d 2.303, 2θ 39.12, rel. 22; (0 2 10), d 2.213, 2θ 40.77, rel. 22; (2 4 6), d 1.858, 2θ 49.02, rel. 25

Structural model:
Cell: 5.675 12.592 23.641 Å, 90.00 90.00 90.00°
Space group Fddd (No. 70, origin choice 2)
One atom of each set of equivalent atoms:
1 Rb 0.125 0.125 0.315 x16
2 Sm 0.125 0.125 0.125 x8
3 Al 0.125 0.125 0.625 x8
4 O 0.077 0.288 0.838 x32

# 2
Theoretical powder diffractogram
Compound: ScCdCu5
Radiation: Cu Ka
Structure: a PBE-relaxed structure
Peak positions follow from Bragg's law for the DFT cell and can differ from measured ones.

Most intense lines, 2θ = 5–70°, by angle:
(1 1 1), d 3.892, 2θ 22.85, rel. 43; (0 2 0), d 2.446, 2θ 36.74, rel. 32; (2 1 3), d 2.331, 2θ 38.63, rel. 56; (3 1 1), d 2.310, 2θ 39.00, rel. 78; (3 1 2), d 2.158, 2θ 41.85, rel. 35; (2 2 1), d 2.054, 2θ 44.08, rel. 65; (1 0 5), d 2.034, 2θ 44.55, rel. 54; (2 1 4), d 2.010, 2θ 45.11, rel. 79; (4 0 1), d 1.992, 2θ 45.53, rel. 40; (1 2 3), d 1.946, 2θ 46.67, rel. 100

Structural model:
Cell: 8.117 4.892 10.504 Å, 90.00 90.00 90.00°
Space group Pnma (No. 62)
One atom of each set of equivalent atoms:
1 Sc 0.249 0.250 0.070 x4
2 Cd 0.134 0.250 0.365 x4
3 Cu 0.048 0.250 0.602 x4
4 Cu 0.069 0.502 0.813 x8
5 Cu 0.083 0.750 0.016 x4
6 Cu 0.189 0.750 0.236 x4

# 3
Theoretical powder diffractogram
Compound: PmThNiPt
Radiation: Cu Ka
Structure: a PBE-relaxed structure
Peak positions follow from Bragg's law for the DFT cell and can differ from measured ones.

Most intense lines, 2θ = 5–70°, by angle:
(1 0 0), d 4.406, 2θ 20.15, rel. 18; (1 1 1), d 2.789, 2θ 32.09, rel. 100; (0 0 4), d 2.743, 2θ 32.64, rel. 35; (0 1 3), d 2.640, 2θ 33.96, rel. 32; (1 0 4), d 2.329, 2θ 38.66, rel. 21; (1 1 3), d 2.265, 2θ 39.80, rel. 69; (2 0 0), d 2.203, 2θ 40.97, rel. 30; (0 2 0), d 1.907, 2θ 47.68, rel. 19; (2 0 4), d 1.718, 2θ 53.33, rel. 18; (2 1 3), d 1.691, 2θ 54.25, rel. 26

Structural model:
Cell: 4.406 3.814 10.973 Å, 90.00 90.00 90.00°
Space group Amm2 (No. 38)
One atom of each set of equivalent atoms:
1 Pm 0.000 0.000 0.000 x2
2 Th 0.500 0.000 0.725 x2
3 Ni 0.000 0.000 0.266 x2
4 Pt 0.500 0.000 0.441 x2

# 4
Theoretical powder diffractogram
Compound: DyHo2Ga6
Radiation: Cu Ka
Structure: a PBE-relaxed structure
Peak positions follow from Bragg's law for the DFT cell and can differ from measured ones.

Most intense lines, 2θ = 5–70°, by angle:
(1 1 0), d 3.730, 2θ 23.85, rel. 17; (1 1 1), d 2.665, 2θ 33.63, rel. 100; (3 0 0), d 2.154, 2θ 41.95, rel. 47; (0 0 2), d 1.905, 2θ 47.75, rel. 11; (2 2 0), d 1.865, 2θ 48.83, rel. 3; (1 1 2), d 1.696, 2θ 54.06, rel. 4; (2 2 1), d 1.675, 2θ 54.80, rel. 25; (3 0 2), d 1.427, 2θ 65.41, rel. 25; (4 1 0), d 1.410, 2θ 66.29, rel. 2

Structural model:
Cell: 7.4606 7.4606 3.8093 Å, 90.00 90.00 120.00°
Space group P6/mmm (No. 191)
One atom of each set of equivalent atoms:
1 Dy 0.0000 0.0000 0.0000 x1
2 Ho 0.3333 0.6667 0.0000 x2
3 Ga 0.0000 0.3336 0.5000 x6

# 5
Theoretical powder diffractogram
Compound: Cs2KZnCl6
Radiation: Cu Ka
Structure: a PBE-relaxed structure
Peak positions follow from Bragg's law for the DFT cell and can differ from measured ones.

Most intense lines, 2θ = 5–70°, by angle:
(1 1 1), d 6.332, 2θ 13.99, rel. 10; (2 2 0), d 3.878, 2θ 22.94, rel. 100; (2 2 2), d 3.166, 2θ 28.19, rel. 54; (4 0 0), d 2.742, 2θ 32.66, rel. 71; (4 2 2), d 2.239, 2θ 40.29, rel. 42; (4 4 0), d 1.939, 2θ 46.86, rel. 46; (6 2 0), d 1.734, 2θ 52.79, rel. 24; (6 2 2), d 1.653, 2θ 55.58, rel. 18; (4 4 4), d 1.583, 2θ 58.29, rel. 15; (6 4 2), d 1.466, 2θ 63.47, rel. 26

Structural model:
Cell: 10.967 10.967 10.967 Å, 90.00 90.00 90.00°
Space group Fm-3m (No. 225)
One atom of each set of equivalent atoms:
1 Cs 0.250 0.250 0.250 x8
2 K 0.000 0.000 0.000 x4
3 Zn 0.000 0.000 0.500 x4
4 Cl 0.000 0.000 0.276 x24

# 6
Theoretical powder diffractogram
Compound: Cs2K7Hg2
Radiation: Cu Ka
Structure: a PBE-relaxed structure
Peak positions follow from Bragg's law for the DFT cell and can differ from measured ones.

Most intense lines, 2θ = 5–70°, by angle:
(0 0 2), d 8.476, 2θ 10.44, rel. 39; (1 0 1), d 5.770, 2θ 15.36, rel. 53; (0 2 2), d 5.195, 2θ 17.07, rel. 31; (1 3 0), d 3.565, 2θ 24.97, rel. 36; (1 2 3), d 3.514, 2θ 25.35, rel. 100; (0 4 0), d 3.288, 2θ 27.12, rel. 40; (2 0 0), d 3.068, 2θ 29.11, rel. 27; (1 2 5), d 2.705, 2θ 33.12, rel. 31; (2 2 4), d 2.325, 2θ 38.73, rel. 16; (2 4 0), d 2.243, 2θ 40.20, rel. 19

Structural model:
Cell: 6.136 13.157 16.951 Å, 90.00 90.00 90.00°
Space group Immm (No. 71)
One atom of each set of equivalent atoms:
1 Cs 0.000 0.000 0.126 x4
2 K 0.000 0.000 0.500 x2
3 K 0.000 0.255 0.364 x8
4 K 0.000 0.500 0.155 x4
5 Hg 0.000 0.285 0.000 x4